Starting from a crystal structure in Alexandria, relaxed with PBE+U, the PXRD pattern of KGdFe4O12 was computed for Cu Kα (weighted mean of Kα1 and Kα2).
Neutral-atom scattering factors, no anomalous dispersion.

The 10 most intense peaks (2θ from 10° to 90°), in order of rising 2θ:
2θ/deg  Rel. int.
11.6  22
16.4  21
20.1  69
33.1  100
39.0  24
47.4  32
47.6  16
52.1  16
59.1  25
69.5  17

Crystal structure
a b c (Å): 7.6380 5.4196 5.4196
angles (deg): 89.93 90.00 90.00
Sites, in units of the cell vectors:
1 K 0.0000 0.0000 0.0000
2 Gd 0.5000 0.4887 0.4887
3 Fe 0.2469 0.4994 0.9970
4 Fe 0.2469 0.9970 0.4994
5 Fe 0.7531 0.4994 0.9970
6 Fe 0.7531 0.9970 0.4994
7 O 0.0000 0.5041 0.9894
8 O 0.0000 0.9894 0.5041
9 O 0.2566 0.2600 0.2600
10 O 0.2681 0.2603 0.7378
11 O 0.2681 0.7378 0.2603
12 O 0.2797 0.7357 0.7357
13 O 0.5000 0.0248 0.4879
14 O 0.5000 0.4879 0.0248
15 O 0.7203 0.7357 0.7357
16 O 0.7319 0.2603 0.7378
17 O 0.7319 0.7378 0.2603
18 O 0.7434 0.2600 0.2600